ScCdAu6: computed X-ray diffraction stick pattern (copper Kα), based on a cell relaxed with GGA-PBE.
Intensities are scaled so that the largest is 100.

Most intense lines, 10 to 90 degrees two-theta, in order of rising 2θ:
| d (Å) | Position (°2θ) | intensity |
| --- | --- | --- |
| 2.428 | 37.02 | 100 |
| 2.421 | 37.13 | 99 |
| 2.140 | 42.24 | 35 |
| 2.081 | 43.50 | 64 |
| 1.491 | 62.25 | 22 |
| 1.471 | 63.20 | 21 |
| 1.285 | 73.72 | 13 |
| 1.282 | 73.93 | 13 |
| 1.259 | 75.54 | 25 |
| 1.257 | 75.67 | 25 |

Structural model:
```
ScCdAu6
1.0
4.6881 -2.0801 0.0000
4.6881 2.0801 0.0000
-3.9390 0.0000 7.5987
Sc Cd Au
1 1 6
Direct
0.0000 0.0000 0.0000
0.0000 0.0000 0.5000
0.2493 0.2493 0.3706
0.2528 0.2528 0.8799
0.4970 0.4970 0.7532
0.5030 0.5030 0.2468
0.7472 0.7472 0.1201
0.7507 0.7507 0.6294
```